Record 1
Structure and computed powder XRD pattern of Tm2In3Hg2 (a GGA-PBE-relaxed structure; λ = 1.5418 Å (Cu Kα)).
Neutral-atom scattering factors, no anomalous dispersion.

abc: 4.7212 21.1349 3.5204
angles: 90.00 90.00 90.00
Space group Cmmm (No. 65)
Unique sites:
Tm: 0.0000 0.1563 0.0000
In: 0.0000 0.0000 0.0000
In: 0.0000 0.4272 0.5000
Hg: 0.0000 0.2887 0.5000

Principal peaks in the range 10 to 90 degrees two-theta, low angle first:
2θ 31.99, I = 91.7, hkl 1 1 1; 2θ 34.23, I = 38.6, hkl 1 3 1; 2θ 35.29, I = 100.0, hkl 1 7 0; 2θ 36.07, I = 42.2, hkl 0 6 1; 2θ 38.12, I = 45.5, hkl 2 0 0; 2θ 38.35, I = 25.0, hkl 1 5 1; 2θ 53.49, I = 27.0, hkl 2 6 1; 2θ 64.36, I = 34.7, hkl 1 7 2



Record 2
Structure and computed powder XRD pattern of Tb2Pa2Te7 (a GGA-PBE-relaxed structure; λ = 1.5418 Å (Cu Kα)).
Neutral-atom scattering factors, no anomalous dispersion.

abc: 5.2310 5.2310 14.7517
angles: 90.00 90.00 90.00
Space group P-4m2 (No. 115)
Unique sites:
Tb: 0.0000 0.5000 0.1362
Pa: 0.0000 0.5000 0.6259
Te: 0.0000 0.0000 0.2367
Te: 0.0000 0.0000 0.5000
Te: 0.5000 0.5000 0.0000
Te: 0.5000 0.5000 0.2562
Te: 0.5000 0.5000 0.5000

Principal peaks in the range 10 to 90 degrees two-theta, low angle first:
2θ 20.82, I = 53.1, hkl 1 0 2; 2θ 34.32, I = 100.0, hkl 2 0 0; 2θ 40.48, I = 28.6, hkl 2 1 2; 2θ 49.27, I = 12.3, hkl 2 2 0; 2θ 54.09, I = 12.2, hkl 3 0 2; 2θ 61.43, I = 24.6, hkl 3 1 4; 2θ 61.53, I = 11.0, hkl 2 0 8; 2θ 82.47, I = 11.0, hkl 4 2 0